Entry 1:
# RbAs2Pb2Se6
Theoretical powder XRD pattern, Cu Kα. Input: a cell relaxed with GGA-PBE.

```
data_RbAs2Pb2Se6
_chemical_formula_sum 'Rb1 As2 Pb2 Se6'
_symmetry_space_group_name_H-M 'P -1'
_symmetry_Int_Tables_number 2
_symmetry_space_group_name_Hall '-P 1'
_cell_length_a 7.2265
_cell_length_b 7.9424
_cell_length_c 9.3016
_cell_angle_alpha 95.01
_cell_angle_beta 112.02
_cell_angle_gamma 116.76
loop_
_atom_site_label
_atom_site_fract_x
_atom_site_fract_y
_atom_site_fract_z
_atom_site_occupancy
Rb1 0.0000 0.0000 0.0000 1
As1 0.1318 0.6042 0.6493 1
Pb1 0.4119 0.3242 0.6630 1
Se1 0.0472 0.8653 0.6301 1
Se2 0.3044 0.4651 0.9209 1
Se3 0.4942 0.7202 0.6387 1
```

Principal peaks in the range 5° ≤ 2θ ≤ 70°, by angle:
d/Å, Position (°2θ), I (rel.), (hkl)
8.200, 10.79, 565, 0 0 1
6.744, 13.13, 405, 0 1 0
6.259, 14.15, 1000, 1 -1 0
3.526, 25.26, 473, 0 2 -1
2.735, 32.75, 754, 0 0 3
2.597, 34.54, 394, 1 -3 1



Entry 2:
# AsRh5Pb2
Theoretical powder XRD pattern, Cu Kα. Input: a cell relaxed with GGA-PBE.

```
data_AsRh5Pb2
_chemical_formula_sum 'As2 Rh10 Pb4'
_symmetry_space_group_name_H-M 'P b a m'
_symmetry_Int_Tables_number 55
_symmetry_space_group_name_Hall '-P 2 2ab'
_cell_length_a 5.8700
_cell_length_b 10.9751
_cell_length_c 4.1606
_cell_angle_alpha 90.00
_cell_angle_beta 90.00
_cell_angle_gamma 90.00
loop_
_atom_site_label
_atom_site_fract_x
_atom_site_fract_y
_atom_site_fract_z
_atom_site_occupancy
As1 0.0000 0.0000 0.0000 1
Rh1 0.0000 0.5000 0.0000 1
Rh2 0.0937 0.2194 0.0000 1
Rh3 0.1719 0.9083 0.5000 1
Pb1 0.1260 0.6529 0.5000 1
```

Principal peaks in the range 5° ≤ 2θ ≤ 70°, by angle:
d/Å, Position (°2θ), I (rel.), (hkl)
2.487, 36.11, 711, 1 4 0
2.398, 37.50, 205, 2 0 1
2.343, 38.42, 1000, 2 1 1
2.290, 39.34, 986, 0 4 1
2.080, 43.50, 467, 0 0 2
1.595, 57.82, 218, 1 4 2



Number 1 is which compound?
RbAs2Pb2Se6